Entry 1:
Structure and calculated X-ray powder pattern of Ca2Tl13 (a PBE-relaxed structure; a wavelength of 1.5418 Å).

Structural model:
```
15
Lattice="4.4680 2.5796 8.0282 -4.4680 2.5796 8.0282 0.0000 -5.1592 8.0282" Properties=species:S:1:pos:R:3 pbc="T T T"
Ca 0.0000 0.0000 5.7553
Ca 0.0000 0.0000 18.3295
Tl 0.0000 0.0000 0.0000
Tl 0.0000 -3.2366 5.4209
Tl -2.8030 1.6183 5.4209
Tl 0.0000 -1.9273 8.7863
Tl -1.6691 0.9637 8.7863
Tl -2.8030 -1.6183 18.6638
Tl -1.6691 -0.9637 15.2985
Tl 1.6691 0.9637 8.7863
Tl 2.8030 1.6183 5.4209
Tl 1.6691 -0.9637 15.2985
Tl 0.0000 1.9273 15.2985
Tl 2.8030 -1.6183 18.6638
Tl 0.0000 3.2366 18.6638
```

Most intense lines, 2θ from 15° to 90°, low angle first:
2theta, I/Imax
18.67, 50
23.28, 57
30.79, 57
31.90, 54
34.08, 100
34.89, 58
35.92, 51
36.59, 82
37.86, 33
58.24, 36

---

Entry 2:
Structure and calculated X-ray powder pattern of CaTmTl4 (a PBE-relaxed structure; a wavelength of 1.5418 Å).

Structural model:
```
12
Lattice="11.9698 0.0000 0.0000 0.0000 3.7833 0.0000 -2.2320 0.0000 7.6081" Properties=species:S:1:pos:R:3 pbc="T T T"
Ca 0.0000 0.0000 0.0000
Ca 5.9849 1.8916 0.0000
Tm -1.1160 0.0000 3.8040
Tm 4.8689 1.8916 3.8040
Tl 1.2067 1.8916 2.6050
Tl 0.2634 1.8916 6.2611
Tl 3.4895 0.0000 1.3470
Tl 2.5461 0.0000 5.0031
Tl 7.1916 0.0000 2.6050
Tl 6.2483 0.0000 6.2611
Tl 9.4743 1.8916 1.3470
Tl 8.5310 1.8916 5.0031
```

Most intense lines, 2θ from 15° to 90°, low angle first:
2theta, I/Imax
31.66, 39
32.74, 70
33.32, 100
45.84, 13
47.50, 12
48.10, 12
56.72, 15
57.79, 14
58.73, 14
59.82, 12

---

Entry 3:
Structure and calculated X-ray powder pattern of CaTmTl3 (a PBE-relaxed structure; a wavelength of 1.5418 Å).

Structural model:
```
20
Lattice="7.9896 -4.9029 0.0000 7.9896 4.9029 0.0000 0.0000 0.0000 7.6519" Properties=species:S:1:pos:R:3 pbc="T T T"
Ca 7.9896 4.5542 5.7389
Ca 7.9896 0.4233 5.7389
Ca 7.9896 -0.4233 1.9130
Ca 7.9896 -4.5542 1.9130
Tm 4.2660 2.5175 5.7389
Tm 11.7132 2.5175 5.7389
Tm 4.2660 -2.5175 1.9130
Tm 11.7132 -2.5175 1.9130
Tl 6.4431 2.6716 0.3340
Tl 6.4431 2.6716 3.4919
Tl 4.5790 0.0000 0.0000
Tl 4.5790 0.0000 3.8259
Tl 9.5360 2.6716 0.3340
Tl 9.5360 2.6716 3.4919
Tl 6.4431 -2.6716 4.1599
Tl 6.4431 -2.6716 7.3178
Tl 11.4002 0.0000 0.0000
Tl 11.4002 0.0000 3.8259
Tl 9.5360 -2.6716 4.1599
Tl 9.5360 -2.6716 7.3178
```

Most intense lines, 2θ from 15° to 90°, low angle first:
2theta, I/Imax
18.09, 33
23.25, 20
28.83, 20
31.71, 100
32.40, 18
33.65, 17
36.65, 38
36.84, 17
37.36, 53
38.46, 27